Theoretical powder diffraction line list of CsB5O8 for λ = 1.5418 Å (Cu Kα), from a DFT-relaxed cell (GGA-PBE, Alexandria).
Neutral-atom scattering factors, no anomalous dispersion.

Top 10 peaks for 2θ = 10–90°, sorted by position:
two_theta, Rel. int., hkl
13.89, 34, 0 1 1
18.27, 37, 0 2 0
25.39, 51, 1 1 2
25.70, 100, 2 1 1
27.99, 31, 0 2 2
28.37, 66, 2 2 0
29.55, 31, 0 3 1
30.28, 38, 2 0 2
35.57, 24, 2 2 2
42.96, 21, 0 4 2

Atomic structure:
```
CsB5O8
1.0
8.2598 0.0000 0.0000
0.0000 9.7128 0.0000
0.0000 0.0000 8.4506
Cs B O
4 20 32
Cartesian
0.2097 2.4282 1.7246
3.9202 7.2846 5.9499
4.3396 2.4282 2.5007
8.0501 7.2846 6.7260
0.7207 7.2846 3.2221
1.8387 1.3327 5.5513
1.8387 3.5237 5.5513
1.9781 5.1322 3.5395
1.9781 9.4371 3.5395
2.1518 0.2758 7.7649
2.1518 4.5806 7.7649
2.2912 6.1891 1.3259
2.2912 8.3801 1.3259
3.4093 2.4282 7.4474
4.8506 7.2846 1.0033
5.9686 1.3327 7.1247
5.9686 3.5237 7.1247
6.1080 5.1322 0.6858
6.1080 9.4371 0.6858
6.2817 0.2758 4.9111
6.2817 4.5806 4.9111
6.4212 6.1891 2.8994
6.4212 8.3801 2.8994
7.5392 2.4282 5.2286
0.7754 2.4282 5.3418
1.1055 6.0957 3.9632
1.1055 8.4736 3.9632
1.3090 7.2846 1.8218
1.5362 0.3426 6.5274
1.5362 4.5138 6.5274
1.8286 5.6814 0.0666
1.8286 8.8879 0.0666
2.3013 0.8250 4.2919
2.3013 4.0315 4.2919
2.5937 5.1990 2.3021
2.5937 9.3702 2.3021
2.8209 2.4282 6.0471
3.0244 1.2392 8.1885
3.0244 3.6172 8.1885
3.3545 7.2846 1.1165
4.9053 2.4282 7.3342
5.2354 6.0957 0.2622
5.2354 8.4736 0.2622
5.4389 7.2846 2.4035
5.6661 0.3426 6.1486
5.6661 4.5138 6.1486
5.9585 5.6814 4.1587
5.9585 8.8879 4.1587
6.4312 0.8250 8.3840
6.4312 4.0315 8.3840
6.7236 5.1990 1.9232
6.7236 9.3702 1.9232
6.9508 2.4282 6.6288
7.1544 1.2392 4.4875
7.1544 3.6172 4.4875
7.4844 7.2846 3.1088
```